# 1
This entry pairs a crystal structure of Sr3SmRhO6 with its calculated PXRD pattern. Radiation: Cu Kα X-rays. Structure: the PBE geometry in the Materials Project.
Kinematic intensities with the Lorentz-polarization factor, no thermal factor.

Structural model:
a b c (Å): 9.9168 9.9168 11.5600
angles (deg): 90.00 90.00 120.00
Space group R-3c (No. 167, hexagonal axes)
Asymmetric unit:
Sr: 0.0000 0.3691 0.2500
Sm: 0.0000 0.0000 0.2500
Rh: 0.0000 0.0000 0.0000
O: 0.0235 0.1817 0.3901

Peak list (8 most intense, 2θ = 10–80°, in order of rising 2θ)
(hkl), two_theta, intensity
1 1 0, 17.89, 41
1 1 3, 29.35, 43
3 0 0, 31.24, 100
0 2 4, 37.51, 33
2 1 4, 41.85, 39
2 2 3, 43.40, 26
3 3 0, 55.61, 15
3 2 4, 56.53, 28


# 2
This entry pairs a crystal structure of Sr4RhO6 with its calculated PXRD pattern. Radiation: Cu Kα X-rays. Structure: the PBE geometry in the Materials Project.
Kinematic intensities with the Lorentz-polarization factor, no thermal factor.

Structural model:
a b c (Å): 9.8264 9.8264 11.9527
angles (deg): 90.00 90.00 120.00
Space group R-3c (No. 167, hexagonal axes)
Asymmetric unit:
Sr: 0.0000 0.0000 0.2500
Sr: 0.0000 0.3670 0.2500
Rh: 0.0000 0.0000 0.0000
O: 0.0285 0.1856 0.4002

Peak list (8 most intense, 2θ = 10–80°, in order of rising 2θ)
(hkl), two_theta, intensity
1 1 0, 18.09, 29
1 1 3, 28.85, 60
3 0 0, 31.54, 100
0 2 4, 36.75, 29
2 1 4, 41.24, 34
2 2 3, 43.27, 38
3 3 0, 56.17, 18
3 2 4, 56.29, 25


# 3
This entry pairs a crystal structure of Sr2RhO4 with its calculated PXRD pattern. Radiation: Cu Kα X-rays. Structure: the PBE geometry in the Materials Project.
Kinematic intensities with the Lorentz-polarization factor, no thermal factor.

Structural model:
a b c (Å): 5.549 5.551 26.047
angles (deg): 89.85 89.81 89.98
Space group P1 (No. 1)
Asymmetric unit:
Sr: 0.000 0.000 0.000
Sr: 0.000 0.003 0.852
Sr: 0.000 0.501 0.749
Sr: 0.001 0.013 0.352
Sr: 0.010 0.514 0.250
Sr: 0.488 0.001 0.602
Sr: 0.492 0.499 0.852
Sr: 0.495 0.508 0.500
Sr: 0.497 0.005 0.103
Sr: 0.504 0.509 0.000
Sr: 0.505 0.007 0.749
Sr: 0.506 0.006 0.250
Sr: 0.512 0.510 0.352
Sr: 0.989 0.007 0.499
Sr: 0.993 0.496 0.103
Sr: 0.996 0.507 0.602
Rh: 0.000 0.502 0.926
Rh: 0.001 0.004 0.177
Rh: 0.002 0.507 0.426
Rh: 0.498 0.007 0.426
Rh: 0.498 0.504 0.676
Rh: 0.500 0.003 0.926
Rh: 0.501 0.504 0.177
Rh: 0.997 0.003 0.675
O: 0.003 0.511 0.506
O: 0.003 0.998 0.595
O: 0.004 0.994 0.256
O: 0.009 0.497 0.846
O: 0.194 0.203 0.427
O: 0.195 0.306 0.675
O: 0.198 0.806 0.926
O: 0.199 0.702 0.173
O: 0.299 0.806 0.678
O: 0.303 0.305 0.929
O: 0.304 0.202 0.178
O: 0.304 0.703 0.424
O: 0.492 0.010 0.846
O: 0.493 0.513 0.596
O: 0.494 0.518 0.256
O: 0.500 0.006 0.506
O: 0.501 0.017 0.346
O: 0.504 0.495 0.756
O: 0.504 0.992 0.006
O: 0.508 0.490 0.097
O: 0.695 0.202 0.673
O: 0.697 0.310 0.428
O: 0.698 0.700 0.923
O: 0.699 0.807 0.175
O: 0.800 0.701 0.676
O: 0.802 0.810 0.424
O: 0.803 0.307 0.180
O: 0.804 0.200 0.926
O: 0.991 0.010 0.756
O: 0.993 0.502 0.346
O: 0.994 0.513 0.006
O: 0.999 0.016 0.096

Peak list (8 most intense, 2θ = 10–80°, in order of rising 2θ)
(hkl), two_theta, intensity
0 0 4, 13.60, 26
1 -1 6, 30.69, 100
1 1 -6, 30.77, 33
2 0 0, 32.26, 90
0 0 12, 41.60, 32
2 -2 0, 46.27, 42
1 3 6, 56.50, 31
1 -3 6, 56.62, 26


What did the second record say?
This entry pairs a crystal structure of Sr4RhO6 with its calculated PXRD pattern. Radiation: Cu Kα X-rays. Structure: the PBE geometry in the Materials Project.
Kinematic intensities with the Lorentz-polarization factor, no thermal factor.

Structural model:
a b c (Å): 9.8264 9.8264 11.9527
angles (deg): 90.00 90.00 120.00
Space group R-3c (No. 167, hexagonal axes)
Asymmetric unit:
Sr: 0.0000 0.0000 0.2500
Sr: 0.0000 0.3670 0.2500
Rh: 0.0000 0.0000 0.0000
O: 0.0285 0.1856 0.4002

Peak list (8 most intense, 2θ = 10–80°, in order of rising 2θ)
(hkl), two_theta, intensity
1 1 0, 18.09, 29
1 1 3, 28.85, 60
3 0 0, 31.54, 100
0 2 4, 36.75, 29
2 1 4, 41.24, 34
2 2 3, 43.27, 38
3 3 0, 56.17, 18
3 2 4, 56.29, 25


Please write out number 1 again, unchanged.
This entry pairs a crystal structure of Sr3SmRhO6 with its calculated PXRD pattern. Radiation: Cu Kα X-rays. Structure: the PBE geometry in the Materials Project.
Kinematic intensities with the Lorentz-polarization factor, no thermal factor.

Structural model:
a b c (Å): 9.9168 9.9168 11.5600
angles (deg): 90.00 90.00 120.00
Space group R-3c (No. 167, hexagonal axes)
Asymmetric unit:
Sr: 0.0000 0.3691 0.2500
Sm: 0.0000 0.0000 0.2500
Rh: 0.0000 0.0000 0.0000
O: 0.0235 0.1817 0.3901

Peak list (8 most intense, 2θ = 10–80°, in order of rising 2θ)
(hkl), two_theta, intensity
1 1 0, 17.89, 41
1 1 3, 29.35, 43
3 0 0, 31.24, 100
0 2 4, 37.51, 33
2 1 4, 41.85, 39
2 2 3, 43.40, 26
3 3 0, 55.61, 15
3 2 4, 56.53, 28